This entry pairs a crystal structure of La2Pm9Tm with its theoretical XRD peak list. Radiation: Cu Kα (λ = 1.5418 Å). Structure: a PBE-relaxed structure.

Principal peaks in the range 10° ≤ 2θ ≤ 90°, in order of falling intensity:
2theta, d (Å), Rel. int.
30.92, 2.892, 100.0
55.02, 1.669, 26.4
61.25, 1.513, 18.5
29.51, 3.026, 16.3
44.27, 2.046, 13.0
89.79, 1.092, 10.2
36.96, 2.432, 9.0
78.69, 1.216, 8.9
48.95, 1.861, 8.0
64.50, 1.445, 7.8

Cell and atoms:
Cell: 11.558 11.558 3.553 Å, 90.00 90.00 120.00°
Element x y z (fractional)
La: 0.333 0.667 0.000
La: 0.667 0.333 0.000
Pm: 0.000 0.500 0.000
Pm: 0.169 0.339 0.500
Pm: 0.169 0.831 0.500
Pm: 0.339 0.169 0.500
Pm: 0.500 0.000 0.000
Pm: 0.500 0.500 0.000
Pm: 0.661 0.831 0.500
Pm: 0.831 0.169 0.500
Pm: 0.831 0.661 0.500
Tm: 0.000 0.000 0.000


This entry pairs a crystal structure of La6PmTm8 with its theoretical XRD peak list. Radiation: Cu Kα (λ = 1.5418 Å). Structure: a PBE-relaxed structure.

Principal peaks in the range 10° ≤ 2θ ≤ 90°, in order of falling intensity:
2theta, d (Å), Rel. int.
31.45, 2.844, 100.0
31.03, 2.882, 51.0
30.55, 2.926, 39.7
32.05, 2.793, 16.3
36.74, 2.446, 15.6
55.40, 1.659, 13.2
59.84, 1.546, 11.6
52.17, 1.753, 9.5
53.95, 1.700, 8.9
34.71, 2.584, 8.1

Cell and atoms:
Cell: 8.815 8.815 8.815 Å, 61.58 61.58 61.58°
Element x y z (fractional)
La: 0.034 0.734 0.590
La: 0.266 0.410 0.966
La: 0.410 0.966 0.266
La: 0.590 0.034 0.734
La: 0.734 0.590 0.034
La: 0.966 0.266 0.410
Pm: 0.500 0.500 0.500
Tm: 0.076 0.076 0.076
Tm: 0.200 0.268 0.614
Tm: 0.268 0.614 0.200
Tm: 0.386 0.800 0.732
Tm: 0.614 0.200 0.268
Tm: 0.732 0.386 0.800
Tm: 0.800 0.732 0.386
Tm: 0.924 0.924 0.924


This entry pairs a crystal structure of La6Pm16Tm7 with its theoretical XRD peak list. Radiation: Cu Kα (λ = 1.5418 Å). Structure: a PBE-relaxed structure.

Principal peaks in the range 10° ≤ 2θ ≤ 90°, in order of falling intensity:
2theta, d (Å), Rel. int.
31.61, 2.830, 100.0
28.98, 3.081, 24.3
56.30, 1.634, 20.6
45.32, 2.001, 12.3
43.42, 2.084, 10.0
27.29, 3.268, 8.7
59.75, 1.548, 8.6
57.26, 1.609, 8.4
80.22, 1.197, 8.3
33.10, 2.706, 8.1

Cell and atoms:
Cell: 11.321 11.321 11.321 Å, 60.00 60.00 60.00°
Element x y z (fractional)
La: 0.210 0.210 0.790
La: 0.210 0.790 0.210
La: 0.210 0.790 0.790
La: 0.790 0.210 0.210
La: 0.790 0.210 0.790
La: 0.790 0.790 0.210
Pm: 0.131 0.623 0.623
Pm: 0.154 0.154 0.154
Pm: 0.154 0.154 0.538
Pm: 0.154 0.538 0.154
Pm: 0.377 0.377 0.377
Pm: 0.377 0.377 0.869
Pm: 0.377 0.869 0.377
Pm: 0.462 0.846 0.846
Pm: 0.538 0.154 0.154
Pm: 0.623 0.131 0.623
Pm: 0.623 0.623 0.131
Pm: 0.623 0.623 0.623
Pm: 0.846 0.462 0.846
Pm: 0.846 0.846 0.462
Pm: 0.846 0.846 0.846
Pm: 0.869 0.377 0.377
Tm: 0.000 0.000 0.500
Tm: 0.000 0.500 0.000
Tm: 0.000 0.500 0.500
Tm: 0.500 0.000 0.000
Tm: 0.500 0.000 0.500
Tm: 0.500 0.500 0.000
Tm: 0.500 0.500 0.500


This entry pairs a crystal structure of LaPmTm4 with its theoretical XRD peak list. Radiation: Cu Kα (λ = 1.5418 Å). Structure: a PBE-relaxed structure.

Principal peaks in the range 10° ≤ 2θ ≤ 90°, in order of falling intensity:
2theta, d (Å), Rel. int.
31.65, 2.827, 100.0
56.38, 1.632, 28.6
62.97, 1.476, 17.8
45.37, 1.999, 17.0
41.23, 2.190, 8.8
75.15, 1.264, 7.7
80.97, 1.187, 7.5
66.11, 1.413, 6.6
89.53, 1.095, 6.1
25.74, 3.462, 5.0

Cell and atoms:
Cell: 3.462 5.655 9.790 Å, 90.00 90.00 90.00°
Element x y z (fractional)
La: 0.000 0.000 0.000
Pm: 0.000 0.500 0.500
Tm: 0.500 0.000 0.335
Tm: 0.500 0.000 0.665
Tm: 0.500 0.500 0.169
Tm: 0.500 0.500 0.831


This entry pairs a crystal structure of La3Pm2Tm4 with its theoretical XRD peak list. Radiation: Cu Kα (λ = 1.5418 Å). Structure: a PBE-relaxed structure.

Principal peaks in the range 10° ≤ 2θ ≤ 90°, in order of falling intensity:
2theta, d (Å), Rel. int.
31.20, 2.867, 100.0
55.52, 1.655, 24.6
61.95, 1.498, 17.1
44.70, 2.027, 16.9
40.62, 2.221, 8.9
79.58, 1.205, 7.4
25.34, 3.514, 5.0
73.91, 1.282, 4.8
65.14, 1.432, 4.4
52.05, 1.757, 4.3

Cell and atoms:
Cell: 9.933 9.933 3.514 Å, 90.00 90.00 120.11°
Element x y z (fractional)
La: 0.000 0.000 0.000
La: 0.326 0.674 0.000
La: 0.674 0.326 0.000
Pm: 0.335 0.335 0.500
Pm: 0.665 0.665 0.500
Tm: 0.001 0.333 0.500
Tm: 0.333 0.001 0.500
Tm: 0.667 0.999 0.500
Tm: 0.999 0.667 0.500


This entry pairs a crystal structure of La5Pm2Tm with its theoretical XRD peak list. Radiation: Cu Kα (λ = 1.5418 Å). Structure: a PBE-relaxed structure.

Principal peaks in the range 10° ≤ 2θ ≤ 90°, in order of falling intensity:
2theta, d (Å), Rel. int.
31.80, 2.814, 100.0
30.72, 2.911, 41.8
30.31, 2.948, 36.9
55.31, 1.661, 20.8
25.14, 3.542, 17.7
58.60, 1.575, 17.0
48.60, 1.873, 14.9
40.08, 2.250, 14.5
31.29, 2.859, 13.7
56.67, 1.624, 12.0

Cell and atoms:
Cell: 9.031 9.031 11.676 Å, 90.00 90.00 142.40°
Element x y z (fractional)
La: 0.047 0.953 0.615
La: 0.047 0.953 0.885
La: 0.389 0.611 0.250
La: 0.412 0.588 0.587
La: 0.412 0.588 0.913
La: 0.588 0.412 0.087
La: 0.588 0.412 0.413
La: 0.611 0.389 0.750
La: 0.953 0.047 0.115
La: 0.953 0.047 0.385
Pm: 0.215 0.785 0.085
Pm: 0.215 0.785 0.415
Pm: 0.785 0.215 0.585
Pm: 0.785 0.215 0.915
Tm: 0.230 0.770 0.750
Tm: 0.770 0.230 0.250


This entry pairs a crystal structure of La2Pm7Tm4 with its theoretical XRD peak list. Radiation: Cu Kα (λ = 1.5418 Å). Structure: a PBE-relaxed structure.

Principal peaks in the range 10° ≤ 2θ ≤ 90°, in order of falling intensity:
2theta, d (Å), Rel. int.
31.88, 2.807, 100.0
50.97, 1.792, 38.1
29.59, 3.019, 36.9
35.42, 2.534, 23.8
27.04, 3.297, 18.9
28.79, 3.101, 15.7
78.89, 1.213, 12.6
26.19, 3.402, 12.0
61.42, 1.510, 11.1
58.67, 1.574, 10.7

Cell and atoms:
Cell: 6.203 6.203 13.190 Å, 90.00 90.00 120.00°
Element x y z (fractional)
La: 0.333 0.667 0.000
La: 0.667 0.333 0.000
Pm: 0.000 0.000 0.000
Pm: 0.000 0.370 0.226
Pm: 0.000 0.630 0.774
Pm: 0.370 0.000 0.226
Pm: 0.370 0.370 0.774
Pm: 0.630 0.000 0.774
Pm: 0.630 0.630 0.226
Tm: 0.000 0.000 0.393
Tm: 0.000 0.000 0.607
Tm: 0.333 0.667 0.500
Tm: 0.667 0.333 0.500


This entry pairs a crystal structure of LaPm2Tm5 with its theoretical XRD peak list. Radiation: Cu Kα (λ = 1.5418 Å). Structure: a PBE-relaxed structure.

Principal peaks in the range 10° ≤ 2θ ≤ 90°, in order of falling intensity:
2theta, d (Å), Rel. int.
30.80, 2.903, 100.0
35.46, 2.532, 34.4
60.79, 1.524, 29.1
51.60, 1.771, 23.8
36.23, 2.479, 16.2
61.83, 1.501, 13.8
64.17, 1.451, 12.4
51.02, 1.790, 12.3
84.19, 1.150, 11.8
83.28, 1.160, 6.1

Cell and atoms:
Cell: 7.087 7.087 7.087 Å, 119.31 119.31 91.20°
Element x y z (fractional)
La: 0.000 0.000 0.000
Pm: 0.000 0.500 0.500
Pm: 0.500 0.000 0.500
Tm: 0.000 0.000 0.500
Tm: 0.000 0.500 0.000
Tm: 0.500 0.000 0.000
Tm: 0.500 0.500 0.000
Tm: 0.500 0.500 0.500